Starting from a GGA-PBE-relaxed structure, the powder XRD pattern of PaCuIO4 was computed for Cu Kα X-rays.

Atomic structure:
abc: 11.4382 6.4956 6.0071
angles: 90.00 93.22 90.00
Space group C2/m (No. 12)
One atom of each set of equivalent atoms:
Pa1 0.2205 0.0000 0.1341
Cu1 0.1137 0.0000 0.6125
I1 0.0643 0.5000 0.2099
O1 0.0480 0.0000 0.3114
O2 0.1707 0.2093 0.8546
O3 0.2416 0.5000 0.5154

Largest 10 diffraction maxima, in order of rising 2θ, 2θ from 10° to 80°:
2theta	intensity	(hkl)
14.8	33	0 0 1
15.5	35	2 0 0
21.9	30	1 1 1
22.1	40	2 0 1
27.2	40	3 1 0
27.5	92	0 2 0
30.4	100	3 1 -1
31.7	38	3 1 1
33.4	62	1 1 -2
35.5	32	2 2 1

***

Starting from a GGA-PBE-relaxed structure, the powder XRD pattern of CuPtIO6 was computed for Cu Kα X-rays.

Atomic structure:
abc: 5.2311 5.2311 9.1605
angles: 90.00 90.00 120.00
Space group P-31c (No. 163)
One atom of each set of equivalent atoms:
Cu1 0.0000 0.0000 0.0000
Pt1 0.3333 0.6667 0.2500
I1 0.3333 0.6667 0.7500
O1 0.0072 0.3531 0.6325

Largest 10 diffraction maxima, in order of rising 2θ, 2θ from 10° to 80°:
2theta	intensity	(hkl)
19.4	50	0 0 2
19.6	20	1 0 0
27.7	100	1 0 2
34.3	62	1 1 0
39.7	48	1 1 2
44.6	27	2 0 2
53.2	57	1 1 4
57.5	25	2 1 2
61.4	21	3 0 0
65.0	11	3 0 2

***

Starting from a GGA-PBE-relaxed structure, the powder XRD pattern of CuSb2IO was computed for Cu Kα X-rays.

Atomic structure:
abc: 4.4144 4.4144 6.7789
angles: 90.00 90.00 90.00
Space group P4/mmm (No. 123)
One atom of each set of equivalent atoms:
Cu1 0.0000 0.0000 0.0000
Sb1 0.0000 0.5000 0.5000
I1 0.5000 0.5000 0.0000
O1 0.5000 0.5000 0.5000

Largest 10 diffraction maxima, in order of rising 2θ, 2θ from 10° to 80°:
2theta	intensity	(hkl)
26.3	47	0 0 2
31.6	100	1 1 1
40.9	28	2 0 0
49.3	33	2 0 2
49.8	27	1 1 3
59.2	9	2 2 0
65.9	13	2 2 2
68.6	21	3 1 1
70.0	11	2 0 4
76.6	8	1 1 5

***

> What is the formula in the first record?

PaCuIO4

***

Copy entry 2 word for word.
Starting from a GGA-PBE-relaxed structure, the powder XRD pattern of CuPtIO6 was computed for Cu Kα X-rays.

Atomic structure:
abc: 5.2311 5.2311 9.1605
angles: 90.00 90.00 120.00
Space group P-31c (No. 163)
One atom of each set of equivalent atoms:
Cu1 0.0000 0.0000 0.0000
Pt1 0.3333 0.6667 0.2500
I1 0.3333 0.6667 0.7500
O1 0.0072 0.3531 0.6325

Largest 10 diffraction maxima, in order of rising 2θ, 2θ from 10° to 80°:
2theta	intensity	(hkl)
19.4	50	0 0 2
19.6	20	1 0 0
27.7	100	1 0 2
34.3	62	1 1 0
39.7	48	1 1 2
44.6	27	2 0 2
53.2	57	1 1 4
57.5	25	2 1 2
61.4	21	3 0 0
65.0	11	3 0 2